# Sm4Er3Th2
Computed powder diffraction line list, Cu Kα X-rays. Input: a structure optimized by DFT (PBE).
Intensities are scaled so that the largest is 100.

Peak list (10 most intense, 10° ≤ 2θ ≤ 90°, sorted by position)
| hkl | Position (°2θ) | Rel. int. |
| --- | --- | --- |
| 1 0 0 | 28.9 | 49 |
| 0 0 9 | 30.1 | 50 |
| 1 0 4 | 31.9 | 61 |
| 0 1 5 | 33.5 | 100 |
| 0 1 9 | 42.2 | 33 |
| 1 1 0 | 51.2 | 37 |
| 0 1 14 | 56.6 | 32 |
| 1 1 9 | 60.5 | 42 |
| 0 0 18 | 62.6 | 23 |
| 1 1 18 | 85.0 | 27 |

Atomic structure:
Cell: 3.5676 3.5676 26.7446 Å, 90.00 90.00 120.00°
Space group P3m1 (No. 156)
One atom of each set of equivalent atoms:
1 Sm 0.0000 0.0000 0.0000 (multiplicity 1)
2 Sm 0.0000 0.0000 0.2140 (multiplicity 1)
3 Sm 0.3333 0.6667 0.3270 (multiplicity 1)
4 Sm 0.3333 0.6667 0.5432 (multiplicity 1)
5 Er 0.0000 0.0000 0.4343 (multiplicity 1)
6 Er 0.3333 0.6667 0.1059 (multiplicity 1)
7 Er 0.3333 0.6667 0.7632 (multiplicity 1)
8 Th 0.0000 0.0000 0.6543 (multiplicity 1)
9 Th 0.0000 0.0000 0.8712 (multiplicity 1)